For NdEuPd, a structure optimized by DFT (PBE) gives the calculated X-ray diffraction stick pattern in this record (Cu Kα (weighted mean of Kα1 and Kα2)).
Lines closer than 0.1° are merged.

The 10 most intense peaks (10° ≤ 2θ ≤ 90°), in order of falling intensity:
- 2θ 31.90, rel. 100
- 2θ 34.43, rel. 56
- 2θ 60.10, rel. 32
- 2θ 42.60, rel. 24
- 2θ 49.49, rel. 20
- 2θ 25.13, rel. 13
- 2θ 44.60, rel. 13
- 2θ 68.07, rel. 12
- 2θ 67.31, rel. 12
- 2θ 27.48, rel. 12

Crystal structure
Cell: 3.683 3.683 12.984 Å, 90.00 90.00 90.00°
Sites, in units of the cell vectors:
Nd 0.000 0.000 0.000
Nd 0.500 0.500 0.500
Eu 0.000 0.000 0.734
Eu 0.500 0.500 0.234
Pd 0.000 0.000 0.382
Pd 0.500 0.500 0.882